(1)
For LiScCd2O4, a DFT-relaxed cell (GGA-PBE, Alexandria) gives the theoretical X-ray powder pattern in this record (Cu Kα, 1.54184 Å).
No peak broadening, texture or thermal motion is included.

Peak list (12 most intense, 15 to 90 degrees two-theta, by angle)
2θ = 16.66°, I 25, (0 1 1)
2θ = 16.91°, I 78, (1 0 1)
2θ = 31.89°, I 35, (1 2 1)
2θ = 33.22°, I 18, (1 0 3)
2θ = 33.68°, I 59, (0 2 2)
2θ = 34.21°, I 55, (2 0 2)
2θ = 38.79°, I 100, (2 2 0)
2θ = 40.57°, I 44, (0 0 4)
2θ = 43.21°, I 17, (1 2 3)
2θ = 57.39°, I 57, (2 2 4)
2θ = 66.66°, I 18, (2 4 2)
2θ = 67.62°, I 17, (4 2 2)

Crystal structure
a b c (Å): 6.490 6.644 8.894
angles (deg): 90.00 90.00 90.00
Space group Imma (No. 74)
Asymmetric unit:
Li: 0.000 0.000 0.000
Sc: 0.250 0.250 0.250
Cd: 0.000 0.000 0.500
Cd: 0.250 0.250 0.750
O: 0.000 0.031 0.238
O: 0.246 0.250 0.009

---

(2)
For RbNpAg2I8, a DFT-relaxed cell (GGA-PBE, Alexandria) gives the theoretical X-ray powder pattern in this record (Cu Kα, 1.54184 Å).
No peak broadening, texture or thermal motion is included.

Peak list (12 most intense, 15 to 90 degrees two-theta, by angle)
2θ = 16.41°, I 100, (2 0 0)
2θ = 20.61°, I 30, (2 1 1)
2θ = 24.90°, I 45, (2 0 2)
2θ = 26.45°, I 56, (3 0 1)
2θ = 29.26°, I 28, (1 0 3)
2θ = 32.23°, I 87, (3 1 2)
2θ = 33.17°, I 46, (4 0 0)
2θ = 33.73°, I 26, (2 1 3)
2θ = 35.53°, I 21, (4 1 1)
2θ = 37.72°, I 23, (0 0 4)
2θ = 40.14°, I 64, (3 3 2)
2θ = 41.38°, I 26, (2 0 4)

Crystal structure
a b c (Å): 10.803 10.803 9.544
angles (deg): 90.00 90.00 90.00
Space group I-4m2 (No. 119)
Asymmetric unit:
Rb: 0.000 0.000 0.000
Np: 0.000 0.500 0.250
Ag: 0.000 0.000 0.500
Ag: 0.000 0.500 0.750
I: 0.000 0.215 0.325
I: 0.000 0.330 0.971

---

(3)
For PmNd6Ho3, a DFT-relaxed cell (GGA-PBE, Alexandria) gives the theoretical X-ray powder pattern in this record (Cu Kα, 1.54184 Å).
No peak broadening, texture or thermal motion is included.

Peak list (12 most intense, 15 to 90 degrees two-theta, by angle)
2θ = 27.95°, I 38, (0 0 2)
2θ = 28.22°, I 62, (2 4 1)
2θ = 28.38°, I 42, (3 1 1)
2θ = 29.52°, I 27, (1 1 2)
2θ = 31.08°, I 100, (0 6 1)
2θ = 31.31°, I 52, (3 3 1)
2θ = 32.43°, I 41, (4 0 0)
2θ = 33.62°, I 31, (3 5 0)
2θ = 33.77°, I 65, (2 2 2)
2θ = 35.17°, I 15, (2 6 1)
2θ = 49.68°, I 16, (2 4 3)
2θ = 59.65°, I 18, (6 6 1)

Crystal structure
a b c (Å): 11.039 19.346 6.376
angles (deg): 90.00 90.00 90.00
Space group Cmc2_1 (No. 36)
Asymmetric unit:
Pm: 0.000 0.195 0.000
Nd: 0.000 0.036 0.764
Nd: 0.000 0.281 0.537
Nd: 0.169 0.460 0.438
Nd: 0.234 0.291 0.260
Ho: 0.000 0.384 0.976
Ho: 0.173 0.116 0.351

---

(4)
For Sr2Tl4S5, a DFT-relaxed cell (GGA-PBE, Alexandria) gives the theoretical X-ray powder pattern in this record (Cu Kα, 1.54184 Å).
No peak broadening, texture or thermal motion is included.

Peak list (12 most intense, 15 to 90 degrees two-theta, by angle)
2θ = 22.55°, I 50, (1 0 1)
2θ = 23.24°, I 20, (1 0 4)
2θ = 24.70°, I 55, (1 0 7)
2θ = 25.34°, I 36, (0 1 8)
2θ = 26.07°, I 34, (0 0 18)
2θ = 27.64°, I 100, (0 1 11)
2θ = 35.85°, I 36, (1 0 19)
2θ = 39.50°, I 95, (1 1 0)
2θ = 47.94°, I 40, (1 1 18)
2θ = 48.88°, I 21, (2 0 11)
2θ = 57.11°, I 19, (1 1 27)
2θ = 64.58°, I 19, (1 2 11)

Crystal structure
a b c (Å): 4.5633 4.5633 61.5319
angles (deg): 90.00 90.00 120.00
Space group R-3m (No. 166, hexagonal axes)
Asymmetric unit:
Sr: 0.0000 0.0000 0.1397
Tl: 0.0000 0.0000 0.3123
Tl: 0.0000 0.0000 0.4214
S: 0.0000 0.0000 0.2198
S: 0.0000 0.0000 0.3606
S: 0.0000 0.0000 0.5000

---

(5)
For Ac2Al6Ag3, a DFT-relaxed cell (GGA-PBE, Alexandria) gives the theoretical X-ray powder pattern in this record (Cu Kα, 1.54184 Å).
No peak broadening, texture or thermal motion is included.

Peak list (12 most intense, 15 to 90 degrees two-theta, by angle)
2θ = 21.87°, I 17, (0 0 1)
2θ = 22.56°, I 41, (2 2 0)
2θ = 23.56°, I 34, (1 3 0)
2θ = 29.37°, I 15, (0 4 0)
2θ = 31.63°, I 100, (2 2 1)
2θ = 32.37°, I 19, (1 3 1)
2θ = 34.14°, I 15, (3 3 0)
2θ = 34.67°, I 17, (4 0 0)
2θ = 34.91°, I 20, (3 1 1)
2θ = 44.26°, I 15, (1 5 1)
2θ = 44.62°, I 21, (0 0 2)
2θ = 51.12°, I 35, (3 5 1)

Crystal structure
a b c (Å): 10.349 12.166 4.063
angles (deg): 90.00 90.00 90.00
Space group Cmmm (No. 65)
Asymmetric unit:
Ac: 0.000 0.207 0.000
Al: 0.119 0.000 0.500
Al: 0.205 0.350 0.500
Ag: 0.000 0.500 0.500
Ag: 0.211 0.500 0.000

---

(6)
For HoScBe17, a DFT-relaxed cell (GGA-PBE, Alexandria) gives the theoretical X-ray powder pattern in this record (Cu Kα, 1.54184 Å).
No peak broadening, texture or thermal motion is included.

Peak list (12 most intense, 15 to 90 degrees two-theta, by angle)
2θ = 15.64°, I 100, (1 0 1)
2θ = 20.93°, I 52, (0 1 2)
2θ = 23.37°, I 77, (1 1 0)
2θ = 24.07°, I 24, (0 0 3)
2θ = 28.24°, I 31, (0 2 1)
2θ = 31.57°, I 22, (2 0 2)
2θ = 33.80°, I 76, (1 1 3)
2θ = 36.97°, I 30, (2 1 1)
2θ = 39.65°, I 23, (1 2 2)
2θ = 41.06°, I 27, (3 0 0)
2θ = 47.78°, I 22, (2 2 0)
2θ = 48.17°, I 40, (3 0 3)

Crystal structure
a b c (Å): 7.6141 7.6141 11.0899
angles (deg): 90.00 90.00 120.00
Space group R3m (No. 160, hexagonal axes)
Asymmetric unit:
Ho: 0.0000 0.0000 0.0000
Sc: 0.0000 0.0000 0.3230
Be: 0.0000 0.0000 0.5627
Be: 0.0000 0.0000 0.7551
Be: 0.0001 0.5001 0.5022
Be: 0.0007 0.5003 0.1601
Be: 0.0505 0.3820 0.3271
Be: 0.1686 0.3372 0.1530